# Tl4V2O7
Theoretical X-ray powder pattern, Cu Kα (weighted mean of Kα1 and Kα2). Input: the GGA+U geometry in Alexandria.
Intensities are scaled so that the largest is 100.

Top 10 peaks for 10° ≤ 2θ ≤ 90°, in order of rising 2θ:
2θ 16.81, I 24, (1 0 0); 2θ 28.15, I 100, (1 0 2); 2θ 29.33, I 82, (1 1 0); 2θ 41.10, I 41, (0 2 2); 2θ 49.09, I 24, (0 1 4); 2θ 51.29, I 37, (2 1 2); 2θ 52.01, I 17, (3 0 0); 2θ 60.83, I 13, (2 2 0); 2θ 66.51, I 19, (1 2 4); 2θ 68.34, I 17, (1 3 2)

Structural model:
Cell lengths 6.0910, 6.0910, 7.9300 Å; angles 90.00, 90.00, 120.00 degrees
Space group P-3m1 (No. 164)
One atom of each set of equivalent atoms:
1 Tl 0.3333 0.6667 0.0752 x2
2 Tl 0.3333 0.6667 0.5920 x2
3 V 0.0000 0.0000 0.2691 x2
4 O 0.0000 0.0000 0.5000 x1
5 O 0.1552 0.3103 0.7997 x6